[1]
K4Rb2Co2O5: theoretical powder diffraction line list (Cu Kα (weighted mean of Kα1 and Kα2)), based on the GGA+U geometry in the Materials Project.

Crystal structure
Unit cell a=6.8020 b=6.8020 c=11.8773 alpha=90.00 beta=90.00 gamma=90.00
Element x y z (fractional)
K 0.0000 0.0000 0.2210
K 0.0000 0.0000 0.7790
K 0.0000 0.5000 0.2500
K 0.0000 0.5000 0.7500
K 0.5000 0.0000 0.2500
K 0.5000 0.0000 0.7500
K 0.5000 0.5000 0.2790
K 0.5000 0.5000 0.7210
Rb 0.1864 0.1864 0.5000
Rb 0.3136 0.6864 0.0000
Rb 0.6864 0.3136 0.0000
Rb 0.8136 0.8136 0.5000
Co 0.2043 0.2043 0.0000
Co 0.2957 0.7043 0.5000
Co 0.7043 0.2957 0.5000
Co 0.7957 0.7957 0.0000
O 0.0000 0.0000 0.0000
O 0.2166 0.7834 0.3598
O 0.2166 0.7834 0.6402
O 0.2834 0.2834 0.1402
O 0.2834 0.2834 0.8598
O 0.5000 0.5000 0.5000
O 0.7166 0.7166 0.1402
O 0.7166 0.7166 0.8598
O 0.7834 0.2166 0.3598
O 0.7834 0.2166 0.6402

Largest 6 diffraction maxima, most intense first, 15 to 90 degrees two-theta:
- 30.29°, I = 100
- 33.09°, I = 40
- 37.39°, I = 34
- 30.10°, I = 30
- 42.55°, I = 24
- 29.36°, I = 19

***

[2]
NiAuO2: theoretical powder diffraction line list (Cu Kα (weighted mean of Kα1 and Kα2)), based on the GGA+U geometry in the Materials Project.

Crystal structure
Unit cell a=3.0334 b=3.0334 c=6.3292 alpha=103.88 beta=103.88 gamma=59.84
Element x y z (fractional)
Ni 0.0000 0.0000 0.0000
Au 0.5000 0.5000 0.5000
O 0.3896 0.3896 0.1688
O 0.6104 0.6104 0.8312

Largest 6 diffraction maxima, most intense first, 15 to 90 degrees two-theta:
- 35.59°, I = 100
- 39.61°, I = 56
- 29.37°, I = 46
- 34.52°, I = 37
- 53.20°, I = 35
- 61.94°, I = 22

***

[3]
SrEuNbVO6: theoretical powder diffraction line list (Cu Kα (weighted mean of Kα1 and Kα2)), based on the GGA+U geometry in the Materials Project.

Crystal structure
Unit cell a=5.6759 b=5.6759 c=5.6759 alpha=60.00 beta=60.00 gamma=60.00
Element x y z (fractional)
Sr 0.0000 0.0000 0.0000
Eu 0.5000 0.5000 0.5000
Nb 0.2500 0.2500 0.2500
V 0.7500 0.7500 0.7500
O 0.0003 0.0003 0.4997
O 0.0003 0.4997 0.0003
O 0.0003 0.4997 0.4997
O 0.4997 0.0003 0.0003
O 0.4997 0.0003 0.4997
O 0.4997 0.4997 0.0003

Largest 6 diffraction maxima, most intense first, 15 to 90 degrees two-theta:
- 31.52°, I = 100
- 56.13°, I = 39
- 45.18°, I = 33
- 65.82°, I = 20
- 74.81°, I = 17
- 38.87°, I = 11